Record 1
# Tb4PmTm3
Theoretical powder XRD pattern, Cu Kα, 1.54184 Å. Input: the PBE geometry in Alexandria.
Kinematic intensities with the Lorentz-polarization factor, no thermal factor.

Cell and atoms:
```
16
Lattice="11.2493 0.0000 0.0000 0.0000 7.2511 0.0000 0.0000 0.0000 6.2642" Properties=species:S:1:pos:R:3 pbc="T T T"
Tb 0.0000 0.9151 0.0000
Tb 0.0000 6.3353 3.1086
Tb 2.7863 6.3412 5.2110
Tb 2.8383 0.9099 2.0789
Tb 5.6246 0.9158 6.2407
Tb 5.6246 6.3360 3.1321
Tb 8.4110 0.9099 2.0789
Tb 8.4629 6.3412 5.2110
Pm 0.0000 2.7218 3.1227
Pm 5.6246 4.5293 6.2548
Tm 0.0000 4.5254 6.2557
Tm 2.8120 2.7259 5.2079
Tm 2.8127 4.5252 2.0758
Tm 5.6246 2.7257 3.1236
Tm 8.4373 2.7259 5.2079
Tm 8.4366 4.5252 2.0758
```

Most intense lines, 2θ from 10° to 90°, sorted by position:
2θ (°)	intensity
28.46	24
31.82	24
32.69	100
43.21	16
50.44	13
57.25	20
60.85	23
61.34	11
83.37	9
87.92	8

***

Record 2
# Sm2ErSc7
Theoretical powder XRD pattern, Cu Kα, 1.54184 Å. Input: the PBE geometry in Alexandria.
Kinematic intensities with the Lorentz-polarization factor, no thermal factor.

Cell and atoms:
```
10
Lattice="3.0405 -13.6326 0.0000 3.0405 13.6326 0.0000 0.0000 0.0000 3.3168" Properties=species:S:1:pos:R:3 pbc="T T T"
Sm 3.0405 7.9169 0.0000
Sm 3.0405 -7.9169 0.0000
Er 3.0405 0.0000 1.6584
Sc 0.0000 0.0000 0.0000
Sc 1.5465 2.6544 0.0000
Sc 3.0405 4.9253 1.6584
Sc 1.5465 -2.6544 0.0000
Sc 4.5345 2.6544 0.0000
Sc 3.0405 -4.9253 1.6584
Sc 4.5345 -2.6544 0.0000
```

Most intense lines, 2θ from 10° to 90°, sorted by position:
2θ (°)	intensity
12.99	34
17.55	45
27.19	47
30.88	43
32.24	48
32.85	40
34.93	100
35.52	26
40.80	30
55.76	24

***

Record 3
# Tb4Y2Er7
Theoretical powder XRD pattern, Cu Kα, 1.54184 Å. Input: the PBE geometry in Alexandria.
Kinematic intensities with the Lorentz-polarization factor, no thermal factor.

Cell and atoms:
```
13
Lattice="6.0355 0.0000 0.0000 -3.0177 5.2269 0.0000 0.0000 0.0000 13.2402" Properties=species:S:1:pos:R:3 pbc="T T T"
Tb 0.0000 0.0000 1.4075
Tb 0.0000 0.0000 11.8327
Tb 0.0000 3.4846 0.0000
Tb 3.0177 1.7423 0.0000
Y 0.0000 3.4846 6.6201
Y 3.0177 1.7423 6.6201
Er 0.0000 0.0000 6.6201
Er -1.0614 1.8384 9.4611
Er -1.9564 3.3885 3.7792
Er 2.1228 0.0000 9.4611
Er 1.0614 1.8384 3.7792
Er 3.9127 0.0000 3.7792
Er 1.9564 3.3885 9.4611
```

Most intense lines, 2θ from 10° to 90°, sorted by position:
2θ (°)	intensity
26.43	18
26.94	18
30.38	62
32.61	100
33.85	15
36.05	33
40.45	16
51.30	20
52.52	32
63.20	17

***

Record 4
# AlSi3P
Theoretical powder XRD pattern, Cu Kα, 1.54184 Å. Input: the PBE geometry in Alexandria.
Kinematic intensities with the Lorentz-polarization factor, no thermal factor.

Cell and atoms:
```
10
Lattice="6.1325 0.0000 0.0000 -3.0663 5.3109 0.0000 0.0000 0.0000 5.3282" Properties=species:S:1:pos:R:3 pbc="T T T"
Al 0.0000 3.5406 0.0032
Al 3.0663 1.7703 5.3250
Si -1.9803 3.4370 3.4954
Si 1.0799 1.8774 3.4954
Si 2.1659 0.0035 1.8328
Si 0.9004 5.3075 3.4954
Si 1.9863 3.4335 1.8328
Si 5.0466 1.8740 1.8328
P 0.0000 0.0000 1.0848
P 0.0000 0.0000 4.2434
```

Most intense lines, 2θ from 10° to 90°, sorted by position:
2θ (°)	intensity
33.72	100
37.79	14
45.09	30
48.41	11
51.63	36
57.48	9
63.10	14
70.89	10
75.88	9
85.80	11